Entry 1:
Simulated XRD peak list of LuAgSe2 for Cu Kα, from a DFT-relaxed cell (GGA-PBE, OQMD).

Top 10 peaks for 15° ≤ 2θ ≤ 90°, in order of rising 2θ:
| two_theta | intensity | index |
| --- | --- | --- |
| 25.03 | 38 | 1 0 2 |
| 26.21 | 47 | 0 0 4 |
| 28.31 | 100 | 1 1 2 |
| 31.97 | 53 | 1 1 3 |
| 36.57 | 69 | 1 2 2 |
| 37.40 | 98 | 0 2 4 |
| 39.54 | 36 | 1 2 3 |
| 41.79 | 37 | 1 1 5 |
| 45.51 | 47 | 1 0 6 |
| 46.02 | 70 | 2 1 1 |

a b c (Å): 4.1741 6.7962 13.6096
angles (deg): 90.00 90.00 90.00
Space group P2_12_12_1 (No. 19)
Inequivalent atoms, fractional coordinates:
Lu  0.2265  0.2107  0.3711
Ag  0.0005  0.2057  0.1224
Se  0.2256  0.0875  0.7270
Se  0.2308  0.4823  0.5283

=====

Entry 2:
Simulated XRD peak list of Tm2LuSi4Ag4 for Cu Kα, from a DFT-relaxed cell (GGA-PBE, OQMD).

Top 10 peaks for 15° ≤ 2θ ≤ 90°, in order of rising 2θ:
| two_theta | intensity | index |
| --- | --- | --- |
| 27.81 | 20 | 1 1 2 |
| 34.04 | 100 | 1 2 1 |
| 34.49 | 32 | 0 1 5 |
| 35.71 | 87 | 1 1 4 |
| 38.53 | 28 | 0 0 6 |
| 38.71 | 31 | 1 2 3 |
| 42.83 | 37 | 2 0 0 |
| 43.64 | 39 | 0 3 3 |
| 59.00 | 22 | 0 2 8 |
| 62.80 | 26 | 2 3 3 |

a b c (Å): 4.2229 6.9428 14.0223
angles (deg): 90.00 90.00 90.00
Space group Immm (No. 71)
Inequivalent atoms, fractional coordinates:
Tm  0.0000  0.0000  0.1242
Lu  0.0000  0.5000  0.0000
Si  0.0000  0.3228  0.5000
Si  0.0000  0.5000  0.2153
Ag  0.0000  0.1997  0.3309